[1]
For Mn3InC, DFT lattice parameters and positions (GGA-PBE) gives the simulated powder X-ray diffraction pattern in this record (Cu Kα).
Neutral-atom scattering factors, no anomalous dispersion.

Largest 9 diffraction maxima, in order of falling intensity, 10° ≤ 2θ ≤ 80°:
- 2θ = 39.53°, intensity 100.0
- 2θ = 45.97°, intensity 54.5
- 2θ = 67.04°, intensity 32.3
- 2θ = 32.06°, intensity 18.2
- 2θ = 22.52°, intensity 9.6
- 2θ = 57.14°, intensity 6.7
- 2θ = 51.77°, intensity 5.1
- 2θ = 76.25°, intensity 2.9
- 2θ = 71.71°, intensity 2.6

Structure:
```
data_Mn3InC
_chemical_formula_sum 'Mn3 In1 C1'
_cell_length_a 3.9487
_cell_length_b 3.9487
_cell_length_c 3.9487
_cell_angle_alpha 90.00
_cell_angle_beta 90.00
_cell_angle_gamma 90.00
_symmetry_space_group_name_H-M 'P m -3 m'
_symmetry_Int_Tables_number 221
_symmetry_space_group_name_Hall '-P 4 2 3'
loop_
_atom_site_label
_atom_site_type_symbol
_atom_site_fract_x
_atom_site_fract_y
_atom_site_fract_z
Mn1 Mn 0.0000 0.0000 0.5000
In1 In 0.5000 0.5000 0.5000
C1 C 0.0000 0.0000 0.0000
```


[2]
For InC8N6, DFT lattice parameters and positions (GGA-PBE) gives the simulated powder X-ray diffraction pattern in this record (Cu Kα).
Neutral-atom scattering factors, no anomalous dispersion.

Largest 12 diffraction maxima, in order of falling intensity, 10° ≤ 2θ ≤ 80°:
- 2θ = 13.42°, intensity 100.0
- 2θ = 25.88°, intensity 71.9
- 2θ = 17.38°, intensity 65.1
- 2θ = 23.36°, intensity 46.7
- 2θ = 22.03°, intensity 42.6
- 2θ = 20.59°, intensity 40.2
- 2θ = 39.49°, intensity 31.7
- 2θ = 32.31°, intensity 26.9
- 2θ = 36.00°, intensity 20.8
- 2θ = 52.57°, intensity 16.1
- 2θ = 41.91°, intensity 14.9
- 2θ = 37.74°, intensity 13.2

Structure:
```
data_InC8N6
_chemical_formula_sum 'In6 C48 N36'
_cell_length_a 13.1631
_cell_length_b 22.8954
_cell_length_c 5.7016
_cell_angle_alpha 90.00
_cell_angle_beta 90.06
_cell_angle_gamma 90.00
_symmetry_space_group_name_H-M 'C 1 m 1'
_symmetry_Int_Tables_number 8
loop_
_symmetry_equiv_pos_as_xyz
'x,y,z'
'x,-y,z'
'x+1/2,y+1/2,z'
'x+1/2,-y+1/2,z'
loop_
_atom_site_label
_atom_site_type_symbol
_atom_site_fract_x
_atom_site_fract_y
_atom_site_fract_z
In1 In 0.0000 0.0000 0.0000
In2 In 0.0027 0.3326 0.5361
C1 C 0.0936 0.4481 0.2196
C2 C 0.1310 0.2309 0.2190
C3 C 0.1341 0.5000 0.1329
C4 C 0.1445 0.1420 0.9815
C5 C 0.1863 0.1830 0.1393
C6 C 0.2142 0.5000 0.9685
C7 C 0.2351 0.3402 0.6841
C8 C 0.2471 0.0000 0.4561
C9 C 0.2865 0.1787 0.2164
C10 C 0.3315 0.0000 0.6112
C11 C 0.3357 0.3343 0.6117
C12 C 0.3745 0.0528 0.6814
C13 C 0.3775 0.3761 0.4556
C14 C 0.3951 0.2871 0.6833
N1 N 0.0560 0.4054 0.2924
N2 N 0.0899 0.2734 0.2842
N3 N 0.1103 0.1082 0.8487
N4 N 0.1499 0.3466 0.7438
N5 N 0.1787 0.0000 0.3247
N6 N 0.2809 0.5000 0.8323
N7 N 0.3715 0.1783 0.2787
N8 N 0.4101 0.0980 0.7384
N9 N 0.4114 0.4098 0.3228
N10 N 0.4474 0.2479 0.7425
```


[3]
For In4CN4, DFT lattice parameters and positions (GGA-PBE) gives the simulated powder X-ray diffraction pattern in this record (Cu Kα).
Neutral-atom scattering factors, no anomalous dispersion.

Largest 12 diffraction maxima, in order of falling intensity, 10° ≤ 2θ ≤ 80°:
- 2θ = 31.38°, intensity 100.0
- 2θ = 25.37°, intensity 52.0
- 2θ = 29.98°, intensity 36.2
- 2θ = 32.76°, intensity 33.7
- 2θ = 21.70°, intensity 29.7
- 2θ = 29.10°, intensity 27.7
- 2θ = 28.82°, intensity 25.1
- 2θ = 34.51°, intensity 24.0
- 2θ = 44.18°, intensity 20.2
- 2θ = 42.01°, intensity 17.0
- 2θ = 16.91°, intensity 16.7
- 2θ = 57.62°, intensity 16.3

Structure:
```
data_In4CN4
_chemical_formula_sum 'In16 C4 N16'
_cell_length_a 10.9360
_cell_length_b 3.5810
_cell_length_c 18.5361
_cell_angle_alpha 90.00
_cell_angle_beta 90.00
_cell_angle_gamma 90.00
_symmetry_space_group_name_H-M 'P n m a'
_symmetry_Int_Tables_number 62
loop_
_symmetry_equiv_pos_as_xyz
'x,y,z'
'-x,-y,-z'
'-x+1/2,-y,z+1/2'
'x+1/2,y,-z+1/2'
'x+1/2,-y+1/2,-z+1/2'
'-x+1/2,y+1/2,z+1/2'
'-x,y+1/2,-z'
'x,-y+1/2,z'
loop_
_atom_site_label
_atom_site_type_symbol
_atom_site_fract_x
_atom_site_fract_y
_atom_site_fract_z
In1 In 0.1188 0.2500 0.0473
In2 In 0.1240 0.2500 0.4171
In3 In 0.1372 0.7500 0.2079
In4 In 0.1412 0.7500 0.8078
C1 C 0.1312 0.2500 0.6067
N1 N 0.0186 0.2500 0.6080
N2 N 0.0474 0.2500 0.1696
N3 N 0.2431 0.2500 0.7976
N4 N 0.2448 0.2500 0.6055
```


Question: What is the formula in the third record?
Answer: In4CN4